Record 1
The following is a computed X-ray powder pattern of WO3. It was derived from DFT lattice parameters and positions (GGA+U), using copper Kα.
Neutral-atom scattering factors, no anomalous dispersion.

Main lines, low angle first (5° ≤ 2θ ≤ 70°):
d [Å]	2θ (°)	Rel. int.
3.893	22.84	94
3.875	22.95	91
3.838	23.18	94
2.747	32.60	48
2.730	32.81	100
2.233	40.38	35
1.919	47.37	18
1.735	52.75	32
1.720	53.24	37
1.573	58.69	19

Structural model:
```
WO3
1.0
3.8931 0.0000 0.0000
0.0000 7.7504 0.0000
0.0000 0.0000 7.6757
W O
4 12
Direct
0.0334 0.0202 0.2500 W
0.0334 0.4798 0.7500 W
0.9666 0.5202 0.2500 W
0.9666 0.9798 0.7500 W
0.0000 0.0000 0.0000 O
0.0000 0.0000 0.5000 O
0.0000 0.5000 0.0000 O
0.0000 0.5000 0.5000 O
0.0023 0.2406 0.7500 O
0.0023 0.2594 0.2500 O
0.4924 0.5126 0.2500 O
0.4924 0.9874 0.7500 O
0.5076 0.0126 0.2500 O
0.5076 0.4874 0.7500 O
0.9977 0.7406 0.7500 O
0.9977 0.7594 0.2500 O
```

---

Record 2
The following is a computed X-ray powder pattern of WO3. It was derived from DFT lattice parameters and positions (GGA+U), using copper Kα.
Neutral-atom scattering factors, no anomalous dispersion.

Main lines, low angle first (5° ≤ 2θ ≤ 70°):
d [Å]	2θ (°)	Rel. int.
3.857	23.06	49
3.803	23.39	100
2.707	33.09	69
2.673	33.53	14
1.901	47.84	19
1.720	53.26	17
1.705	53.75	20
1.563	59.11	16
1.550	59.66	12
1.354	69.43	12

Structural model:
```
WO3
1.0
5.3455 0.0000 0.0000
0.0000 5.4114 0.0000
0.0000 0.0000 7.7130
W O
4 12
Direct
0.2488 0.9999 0.0195 W
0.2512 0.0001 0.5195 W
0.7488 0.5001 0.9805 W
0.7512 0.4999 0.4805 W
0.0259 0.2732 0.9711 O
0.0311 0.2760 0.5299 O
0.1919 0.0031 0.2544 O
0.3081 0.9969 0.7544 O
0.4689 0.7240 0.0299 O
0.4741 0.7268 0.4711 O
0.5259 0.2268 0.0289 O
0.5311 0.2240 0.4701 O
0.6919 0.4969 0.7456 O
0.8081 0.5031 0.2456 O
0.9689 0.7760 0.9701 O
0.9741 0.7732 0.5289 O
```

---

Record 3
The following is a computed X-ray powder pattern of WO5. It was derived from DFT lattice parameters and positions (GGA+U), using copper Kα.
Neutral-atom scattering factors, no anomalous dispersion.

Main lines, low angle first (5° ≤ 2θ ≤ 70°):
d [Å]	2θ (°)	Rel. int.
10.341	8.55	98
6.028	14.69	100
5.663	15.65	90
3.525	25.26	27
3.447	25.85	29
3.407	26.16	42
3.076	29.03	36
3.042	29.36	23
2.923	30.59	26
2.586	34.69	22

Structural model:
```
WO5
1.0
10.5073 0.0000 0.0000
0.0000 3.8610 0.0000
-2.1697 0.0000 12.0565
W O
4 20
Direct
0.1353 0.0000 0.0369 W
0.1358 0.4475 0.5355 W
0.8642 0.9475 0.4645 W
0.8647 0.5000 0.9631 W
0.0729 0.5001 0.0209 O
0.0737 0.9474 0.5193 O
0.2152 0.4489 0.6724 O
0.2149 0.9966 0.1738 O
0.2500 0.9983 0.9513 O
0.2508 0.4494 0.4501 O
0.4558 0.5256 0.8680 O
0.4869 0.3049 0.1297 O
0.4880 0.2278 0.6287 O
0.4894 0.0397 0.3769 O
0.5106 0.5397 0.6231 O
0.5120 0.7278 0.3713 O
0.5131 0.8049 0.8703 O
0.5442 0.0256 0.1320 O
0.7492 0.9494 0.5499 O
0.7500 0.4983 0.0487 O
0.7851 0.4966 0.8262 O
0.7848 0.9489 0.3276 O
0.9263 0.4474 0.4807 O
0.9271 0.0001 0.9791 O
```

---

Record 4
The following is a computed X-ray powder pattern of WO3. It was derived from DFT lattice parameters and positions (GGA+U), using copper Kα.
Neutral-atom scattering factors, no anomalous dispersion.

Main lines, low angle first (5° ≤ 2θ ≤ 70°):
d [Å]	2θ (°)	Rel. int.
6.506	13.61	79
3.848	23.11	61
3.756	23.69	22
3.312	26.92	22
3.253	27.42	100
2.484	36.16	65
1.878	48.47	24
1.688	54.35	25
1.656	55.49	29
1.498	61.94	17

Structural model:
```
WO3
1.0
7.5127 0.0000 0.0000
-3.7564 6.5062 0.0000
0.0000 0.0000 7.6958
W O
6 18
Direct
0.0000 0.4815 0.2500 W
0.0000 0.5185 0.7500 W
0.4815 0.0000 0.2500 W
0.4815 0.4815 0.7500 W
0.5185 0.0000 0.7500 W
0.5185 0.5185 0.2500 W
0.0000 0.5000 0.0000 O
0.0000 0.5000 0.5000 O
0.2098 0.4261 0.7500 O
0.2098 0.7837 0.2500 O
0.2163 0.4261 0.2500 O
0.2163 0.7902 0.7500 O
0.4261 0.2098 0.7500 O
0.4261 0.2163 0.2500 O
0.5000 0.0000 0.0000 O
0.5000 0.0000 0.5000 O
0.5000 0.5000 0.0000 O
0.5000 0.5000 0.5000 O
0.5739 0.7837 0.7500 O
0.5739 0.7902 0.2500 O
0.7837 0.2098 0.2500 O
0.7837 0.5739 0.7500 O
0.7902 0.2163 0.7500 O
0.7902 0.5739 0.2500 O
```

---

Record 5
The following is a computed X-ray powder pattern of WO3. It was derived from DFT lattice parameters and positions (GGA+U), using copper Kα.
Neutral-atom scattering factors, no anomalous dispersion.

Main lines, low angle first (5° ≤ 2θ ≤ 70°):
d [Å]	2θ (°)	Rel. int.
3.908	22.75	49
3.847	23.12	100
2.742	32.66	53
2.720	32.93	28
2.233	40.40	19
1.923	47.26	19
1.742	52.53	17
1.726	53.07	20
1.720	53.24	21
1.575	58.63	21

Structural model:
```
WO3
1.0
5.4403 0.0000 0.0000
0.0000 5.4403 0.0000
0.0000 0.0000 3.9081
W O
2 6
Direct
0.2500 0.2500 0.0387 W
0.7500 0.7500 0.9613 W
0.0000 0.0000 0.0000 O
0.0000 0.5000 0.0000 O
0.2500 0.2500 0.5089 O
0.5000 0.0000 0.0000 O
0.5000 0.5000 0.0000 O
0.7500 0.7500 0.4911 O
```